# 1
Diffraction record for HoCd11Ga. The powder XRD pattern is calculated, not measured: it uses a crystal structure in Alexandria, relaxed with PBE and Cu Kα (weighted mean of Kα1 and Kα2).
Peak positions follow from Bragg's law for the DFT cell and can differ from measured ones.

Principal peaks in the range 2θ from 10° to 90°, by angle:
two_theta	d/Å	I (rel.)	h k l
30.8	2.899	26	1 3 1
31.0	2.881	35	1 3 -2
35.3	2.542	45	2 2 0
35.5	2.526	42	2 2 -2
35.9	2.504	100	1 1 2
36.1	2.486	95	0 4 2
39.9	2.261	34	2 4 -1
64.7	1.440	25	2 6 -4

Atomic structure:
a = 5.889 Å, b = 14.114 Å, c = 7.579 Å
α = 90.00°, β = 112.27°, γ = 90.00°
Space group C2/m (No. 12)
Unique sites:
Ho 0.000 0.000 0.000 (multiplicity 2)
Cd 0.000 0.000 0.500 (multiplicity 2)
Cd 0.105 0.395 0.212 (multiplicity 8)
Cd 0.180 0.174 0.353 (multiplicity 8)
Cd 0.250 0.250 0.000 (multiplicity 4)
Ga 0.000 0.500 0.500 (multiplicity 2)

# 2
Diffraction record for CdGaI3. The powder XRD pattern is calculated, not measured: it uses a crystal structure in Alexandria, relaxed with PBE and Cu Kα (weighted mean of Kα1 and Kα2).
Peak positions follow from Bragg's law for the DFT cell and can differ from measured ones.

Principal peaks in the range 2θ from 10° to 90°, by angle:
two_theta	d/Å	I (rel.)	h k l
14.7	6.016	34	0 4 0
23.3	3.822	51	0 2 2
26.1	3.414	100	1 3 1
30.1	2.969	72	1 5 1
31.5	2.843	27	0 6 2
39.8	2.264	43	1 1 3
41.3	2.188	24	1 3 3
41.4	2.181	30	1 9 1

Atomic structure:
a = 4.269 Å, b = 24.063 Å, c = 8.061 Å
α = 90.00°, β = 90.00°, γ = 90.00°
Space group Cmc2_1 (No. 36)
Unique sites:
Cd 0.000 0.142 0.000 (multiplicity 4)
Ga 0.000 0.337 0.045 (multiplicity 4)
I 0.000 0.082 0.693 (multiplicity 4)
I 0.000 0.272 0.419 (multiplicity 4)
I 0.000 0.411 0.699 (multiplicity 4)

# 3
Diffraction record for CdGaTeI. The powder XRD pattern is calculated, not measured: it uses a crystal structure in Alexandria, relaxed with PBE and Cu Kα (weighted mean of Kα1 and Kα2).
Peak positions follow from Bragg's law for the DFT cell and can differ from measured ones.

Principal peaks in the range 2θ from 10° to 90°, by angle:
two_theta	d/Å	I (rel.)	h k l
18.5	4.800	30	0 0 2
26.2	3.405	100	1 1 1
30.8	2.901	22	2 0 2
37.4	2.404	44	2 0 -3
43.0	2.103	36	3 1 0
45.2	2.005	20	1 1 -4
47.2	1.926	16	3 1 -2
51.0	1.789	16	4 0 1

Atomic structure:
a = 7.284 Å, b = 4.206 Å, c = 9.600 Å
α = 90.00°, β = 90.14°, γ = 90.00°
Space group Cm (No. 8)
Unique sites:
Cd 0.000 0.000 0.000 (multiplicity 2)
Ga 0.000 0.000 0.730 (multiplicity 2)
Te 0.333 0.000 0.599 (multiplicity 2)
I 0.167 0.500 0.179 (multiplicity 2)

# 4
Diffraction record for Cd4In7Ga. The powder XRD pattern is calculated, not measured: it uses a crystal structure in Alexandria, relaxed with PBE and Cu Kα (weighted mean of Kα1 and Kα2).
Peak positions follow from Bragg's law for the DFT cell and can differ from measured ones.

Principal peaks in the range 2θ from 10° to 90°, by angle:
two_theta	d/Å	I (rel.)	h k l
32.8	2.729	100	3 1 0
34.1	2.633	90	1 1 -4
37.8	2.378	34	0 2 0
38.0	2.368	33	2 0 4
40.5	2.226	27	4 0 -4
54.7	1.678	22	2 2 4
56.6	1.625	20	4 2 -4
64.7	1.442	13	5 1 4

Atomic structure:
a = 10.315 Å, b = 4.756 Å, c = 12.671 Å
α = 90.00°, β = 104.31°, γ = 90.00°
Space group C2/m (No. 12)
Unique sites:
Cd 0.167 0.000 0.170 (multiplicity 4)
Cd 0.167 0.000 0.414 (multiplicity 4)
In 0.000 0.500 0.500 (multiplicity 2)
In 0.003 0.500 0.245 (multiplicity 4)
In 0.165 0.000 0.921 (multiplicity 4)
In 0.167 0.000 0.663 (multiplicity 4)
Ga 0.000 0.500 0.000 (multiplicity 2)

# 5
Diffraction record for CdIn6Ga. The powder XRD pattern is calculated, not measured: it uses a crystal structure in Alexandria, relaxed with PBE and Cu Kα (weighted mean of Kα1 and Kα2).
Peak positions follow from Bragg's law for the DFT cell and can differ from measured ones.

Principal peaks in the range 2θ from 10° to 90°, by angle:
two_theta	d/Å	I (rel.)	h k l
33.3	2.693	100	1 1 2
34.4	2.609	23	0 0 4
40.6	2.224	29	2 0 0
54.2	1.692	24	2 0 4
60.9	1.522	16	1 1 6
69.2	1.358	22	3 1 2
69.8	1.347	11	2 2 4
89.6	1.094	11	3 1 6

Atomic structure:
a = 4.447 Å, b = 4.447 Å, c = 10.436 Å
α = 90.00°, β = 90.00°, γ = 90.00°
Space group P4/mmm (No. 123)
Unique sites:
Cd 0.000 0.000 0.000 (multiplicity 1)
In 0.000 0.500 0.255 (multiplicity 4)
In 0.500 0.500 0.000 (multiplicity 1)
In 0.500 0.500 0.500 (multiplicity 1)
Ga 0.000 0.000 0.500 (multiplicity 1)

# 6
Diffraction record for Cd2In3Ga4. The powder XRD pattern is calculated, not measured: it uses a crystal structure in Alexandria, relaxed with PBE and Cu Kα (weighted mean of Kα1 and Kα2).
Peak positions follow from Bragg's law for the DFT cell and can differ from measured ones.

Principal peaks in the range 2θ from 10° to 90°, by angle:
two_theta	d/Å	I (rel.)	h k l
32.5	2.754	51	1 0 0
34.0	2.637	49	0 0 9
36.0	2.498	68	1 0 4
37.8	2.382	100	0 1 5
47.8	1.905	28	1 0 9
58.0	1.590	36	1 1 0
64.6	1.444	23	0 1 14
69.0	1.362	35	1 1 9

Atomic structure:
a = 3.1800 Å, b = 3.1800 Å, c = 23.7314 Å
α = 90.00°, β = 90.00°, γ = 120.00°
Space group P3m1 (No. 156)
Unique sites:
Cd 0.0000 0.0000 0.0000 (multiplicity 1)
Cd 0.0000 0.0000 0.2375 (multiplicity 1)
In 0.0000 0.0000 0.4523 (multiplicity 1)
In 0.6667 0.3333 0.1194 (multiplicity 1)
In 0.6667 0.3333 0.7739 (multiplicity 1)
Ga 0.0000 0.0000 0.6631 (multiplicity 1)
Ga 0.0000 0.0000 0.8809 (multiplicity 1)
Ga 0.6667 0.3333 0.3418 (multiplicity 1)
Ga 0.6667 0.3333 0.5639 (multiplicity 1)

# 7
Diffraction record for Cd8In4Ga. The powder XRD pattern is calculated, not measured: it uses a crystal structure in Alexandria, relaxed with PBE and Cu Kα (weighted mean of Kα1 and Kα2).
Peak positions follow from Bragg's law for the DFT cell and can differ from measured ones.

Principal peaks in the range 2θ from 10° to 90°, by angle:
two_theta	d/Å	I (rel.)	h k l
30.3	2.951	50	1 1 1
31.1	2.878	75	2 0 5
32.8	2.731	98	4 0 -3
32.9	2.722	73	4 0 3
34.2	2.622	44	1 1 3
36.5	2.463	95	3 1 1
37.3	2.410	100	1 1 -4
37.8	2.382	90	3 1 -2

Atomic structure:
a = 12.644 Å, b = 3.090 Å, c = 16.168 Å
α = 90.00°, β = 90.20°, γ = 90.00°
Space group Cm (No. 8)
Unique sites:
Cd 0.000 0.000 0.000 (multiplicity 2)
Cd 0.011 0.500 0.651 (multiplicity 2)
Cd 0.109 0.500 0.458 (multiplicity 2)
Cd 0.217 0.500 0.022 (multiplicity 2)
Cd 0.264 0.000 0.336 (multiplicity 2)
Cd 0.324 0.500 0.726 (multiplicity 2)
Cd 0.340 0.000 0.889 (multiplicity 2)
Cd 0.480 0.500 0.326 (multiplicity 2)
In 0.099 0.500 0.831 (multiplicity 2)
In 0.130 0.000 0.179 (multiplicity 2)
In 0.370 0.500 0.507 (multiplicity 2)
In 0.386 0.000 0.154 (multiplicity 2)
Ga 0.198 0.000 0.604 (multiplicity 2)

# 8
Diffraction record for Cd2InGa. The powder XRD pattern is calculated, not measured: it uses a crystal structure in Alexandria, relaxed with PBE and Cu Kα (weighted mean of Kα1 and Kα2).
Peak positions follow from Bragg's law for the DFT cell and can differ from measured ones.

Principal peaks in the range 2θ from 10° to 90°, by angle:
two_theta	d/Å	I (rel.)	h k l
34.4	2.605	100	1 0 2
38.8	2.319	17	0 0 4
40.5	2.226	32	1 1 0
57.4	1.606	21	1 1 4
58.6	1.574	10	2 0 0
67.5	1.388	12	1 0 6
69.8	1.347	24	2 1 2
72.6	1.303	10	2 0 4

Atomic structure:
a = 3.149 Å, b = 3.149 Å, c = 9.278 Å
α = 90.00°, β = 90.00°, γ = 90.00°
Space group P4mm (No. 99)
Unique sites:
Cd 0.000 0.000 0.000 (multiplicity 1)
Cd 0.500 0.500 0.243 (multiplicity 1)
In 0.000 0.000 0.511 (multiplicity 1)
Ga 0.500 0.500 0.768 (multiplicity 1)

Copy entry 5 word for word.
Diffraction record for CdIn6Ga. The powder XRD pattern is calculated, not measured: it uses a crystal structure in Alexandria, relaxed with PBE and Cu Kα (weighted mean of Kα1 and Kα2).
Peak positions follow from Bragg's law for the DFT cell and can differ from measured ones.

Principal peaks in the range 2θ from 10° to 90°, by angle:
two_theta	d/Å	I (rel.)	h k l
33.3	2.693	100	1 1 2
34.4	2.609	23	0 0 4
40.6	2.224	29	2 0 0
54.2	1.692	24	2 0 4
60.9	1.522	16	1 1 6
69.2	1.358	22	3 1 2
69.8	1.347	11	2 2 4
89.6	1.094	11	3 1 6

Atomic structure:
a = 4.447 Å, b = 4.447 Å, c = 10.436 Å
α = 90.00°, β = 90.00°, γ = 90.00°
Space group P4/mmm (No. 123)
Unique sites:
Cd 0.000 0.000 0.000 (multiplicity 1)
In 0.000 0.500 0.255 (multiplicity 4)
In 0.500 0.500 0.000 (multiplicity 1)
In 0.500 0.500 0.500 (multiplicity 1)
Ga 0.000 0.000 0.500 (multiplicity 1)